No. 1
This entry pairs a crystal structure of PmNdDy4 with its computed powder X-ray diffraction pattern. Radiation: Cu Kα, 1.54184 Å. Structure: DFT lattice parameters and positions (GGA-PBE).

Structure:
```
PmNdDy4
1.0
11.3456 0.0000 0.0000
0.0000 5.0511 0.0000
-2.2820 0.0000 6.8051
Pm Nd Dy
2 2 8
Direct
0.0000 0.0000 0.0000 Pm
0.5000 0.5000 0.0000 Pm
0.0000 0.0000 0.5000 Nd
0.5000 0.5000 0.5000 Nd
0.1674 0.5000 0.3334 Dy
0.1678 0.5000 0.8341 Dy
0.3322 0.0000 0.1659 Dy
0.3326 0.0000 0.6666 Dy
0.6674 0.0000 0.3334 Dy
0.6678 0.0000 0.8341 Dy
0.8322 0.5000 0.1659 Dy
0.8326 0.5000 0.6666 Dy
```

Main lines, by angle (2θ from 10° to 80°):
hkl 3 1 0, 2θ 30.57, d = 2.925 Å, I 100
hkl 2 0 2, 2θ 35.39, d = 2.537 Å, I 34
hkl 0 2 0, 2θ 35.55, d = 2.526 Å, I 17
hkl 6 0 0, 2θ 50.91, d = 1.794 Å, I 12
hkl 2 2 2, 2θ 51.03, d = 1.790 Å, I 24
hkl 1 1 4, 2θ 60.54, d = 1.529 Å, I 22
hkl 5 1 2, 2θ 60.62, d = 1.528 Å, I 7
hkl 3 3 0, 2θ 60.77, d = 1.524 Å, I 14
hkl 6 2 0, 2θ 63.63, d = 1.462 Å, I 12
hkl 8 0 -4, 2θ 74.79, d = 1.269 Å, I 2

No. 2
This entry pairs a crystal structure of HfAg3Os with its computed powder X-ray diffraction pattern. Radiation: Cu Kα, 1.54184 Å. Structure: DFT lattice parameters and positions (GGA-PBE).

Structure:
```
HfAg3Os
1.0
4.9251 0.0000 0.0000
0.0000 4.9251 0.0000
0.0000 0.0000 4.9251
Hf Ag Os
1 3 1
Direct
0.0000 0.0000 0.0000 Hf
0.0000 0.5000 0.5000 Ag
0.5000 0.0000 0.5000 Ag
0.5000 0.5000 0.0000 Ag
0.5000 0.5000 0.5000 Os
```

Main lines, by angle (2θ from 10° to 80°):
hkl 1 0 0, 2θ 18.01, d = 4.925 Å, I 18
hkl 1 1 0, 2θ 25.58, d = 3.483 Å, I 63
hkl 1 1 1, 2θ 31.46, d = 2.844 Å, I 44
hkl 2 0 0, 2θ 36.49, d = 2.463 Å, I 100
hkl 2 1 1, 2θ 45.09, d = 2.011 Å, I 29
hkl 2 2 0, 2θ 52.56, d = 1.741 Å, I 69
hkl 3 1 0, 2θ 59.34, d = 1.557 Å, I 13
hkl 3 1 1, 2θ 62.55, d = 1.485 Å, I 17
hkl 2 2 2, 2θ 65.67, d = 1.422 Å, I 23
hkl 3 2 1, 2θ 71.70, d = 1.316 Å, I 15